Entry 1:
The following is a simulated X-ray powder pattern of Zr3Mn. It was derived from a structure optimized by DFT (GGA-PBE), using CuKα.
Peak positions follow from Bragg's law for the DFT cell and can differ from measured ones.

Crystal structure
```
data_Zr3Mn
_chemical_formula_sum 'Zr3 Mn1'
_cell_length_a 4.3765
_cell_length_b 4.3765
_cell_length_c 4.3765
_cell_angle_alpha 90.00
_cell_angle_beta 90.00
_cell_angle_gamma 90.00
_space_group_name_H-M_alt 'P m -3 m'
_space_group_IT_number 221
_space_group_name_Hall '-P 4 2 3'
loop_
_atom_site_label
_atom_site_fract_x
_atom_site_fract_y
_atom_site_fract_z
_atom_site_occupancy
Zr1 0.0000 0.0000 0.5000 1
Mn1 0.5000 0.5000 0.5000 1
```

The 10 most intense peaks (2θ from 10° to 90°), in order of rising 2θ:
- (1 0 0), 20.29 deg, intensity 4
- (1 1 0), 28.85 deg, intensity 3
- (1 1 1), 35.53 deg, intensity 100
- (2 0 0), 41.26 deg, intensity 49
- (2 1 0), 46.39 deg, intensity 2
- (2 1 1), 51.12 deg, intensity 1
- (2 2 0), 59.77 deg, intensity 31
- (3 1 1), 71.50 deg, intensity 36
- (2 2 2), 75.21 deg, intensity 10
- (4 0 0), 89.59 deg, intensity 5

***

Entry 2:
The following is a simulated X-ray powder pattern of ZrMn13. It was derived from a structure optimized by DFT (GGA-PBE), using CuKα.
Peak positions follow from Bragg's law for the DFT cell and can differ from measured ones.

Crystal structure
```
data_ZrMn13
_chemical_formula_sum 'Zr8 Mn104'
_cell_length_a 11.0485
_cell_length_b 11.0485
_cell_length_c 11.0485
_cell_angle_alpha 90.00
_cell_angle_beta 90.00
_cell_angle_gamma 90.00
_space_group_name_H-M_alt 'F m -3 c'
_space_group_IT_number 226
_space_group_name_Hall '-F 4a 2 3'
loop_
_atom_site_label
_atom_site_fract_x
_atom_site_fract_y
_atom_site_fract_z
_atom_site_occupancy
Zr1 0.2500 0.2500 0.2500 1
Mn1 0.0000 0.0000 0.0000 1
Mn2 0.0000 0.1233 0.1783 1
```

The 10 most intense peaks (2θ from 10° to 90°), in order of rising 2θ:
- (4 2 0), 36.37 deg, intensity 45
- (4 2 2), 39.98 deg, intensity 93
- (5 3 1), 48.76 deg, intensity 100
- (6 0 0), 49.50 deg, intensity 34
- (6 2 0), 52.37 deg, intensity 17
- (4 4 4), 57.82 deg, intensity 11
- (6 4 0), 60.42 deg, intensity 10
- (6 4 4), 70.25 deg, intensity 12
- (7 5 3), 78.94 deg, intensity 19
- (8 4 4), 86.26 deg, intensity 13

***

Entry 3:
The following is a simulated X-ray powder pattern of Zr3Mn. It was derived from a structure optimized by DFT (GGA-PBE), using CuKα.
Peak positions follow from Bragg's law for the DFT cell and can differ from measured ones.

Crystal structure
```
data_Zr3Mn
_chemical_formula_sum 'Zr3 Mn1'
_cell_length_a 3.2495
_cell_length_b 3.2495
_cell_length_c 9.0318
_cell_angle_alpha 90.00
_cell_angle_beta 90.00
_cell_angle_gamma 120.00
_space_group_name_H-M_alt 'P -6 m 2'
_space_group_IT_number 187
_space_group_name_Hall 'P -6 2'
loop_
_atom_site_label
_atom_site_fract_x
_atom_site_fract_y
_atom_site_fract_z
_atom_site_occupancy
Zr1 0.0000 0.0000 0.0000 1
Zr2 0.3333 0.6667 0.2900 1
Mn1 0.0000 0.0000 0.5000 1
```

The 10 most intense peaks (2θ from 10° to 90°), in order of rising 2θ:
- (0 0 3), 29.67 deg, intensity 12
- (1 0 0), 31.80 deg, intensity 32
- (1 0 1), 33.35 deg, intensity 10
- (1 0 2), 37.66 deg, intensity 100
- (0 0 4), 39.93 deg, intensity 12
- (1 0 3), 44.05 deg, intensity 11
- (1 1 0), 56.65 deg, intensity 22
- (1 0 5), 60.95 deg, intensity 13
- (2 0 2), 70.04 deg, intensity 15
- (1 1 4), 71.54 deg, intensity 12

***

Entry 4:
The following is a simulated X-ray powder pattern of Zr8Mn. It was derived from a structure optimized by DFT (GGA-PBE), using CuKα.
Peak positions follow from Bragg's law for the DFT cell and can differ from measured ones.

Crystal structure
```
data_Zr8Mn
_chemical_formula_sum 'Zr16 Mn2'
_cell_length_a 9.5740
_cell_length_b 9.5740
_cell_length_c 4.3704
_cell_angle_alpha 90.00
_cell_angle_beta 90.00
_cell_angle_gamma 90.00
_space_group_name_H-M_alt 'I 4/m m m'
_space_group_IT_number 139
_space_group_name_Hall '-I 4 2'
loop_
_atom_site_label
_atom_site_fract_x
_atom_site_fract_y
_atom_site_fract_z
_atom_site_occupancy
Zr1 0.0000 0.3311 0.0000 1
Zr2 0.1628 0.1628 0.5000 1
Mn1 0.0000 0.0000 0.0000 1
```

The 10 most intense peaks (2θ from 10° to 90°), in order of rising 2θ:
- (3 0 1), 34.81 deg, intensity 100
- (3 3 0), 39.95 deg, intensity 34
- (0 0 2), 41.32 deg, intensity 15
- (6 0 0), 57.78 deg, intensity 11
- (3 3 2), 58.82 deg, intensity 21
- (6 3 1), 69.25 deg, intensity 25
- (3 0 3), 71.14 deg, intensity 12
- (6 0 2), 73.49 deg, intensity 10
- (6 6 0), 86.20 deg, intensity 3
- (0 0 4), 89.75 deg, intensity 2

***

Entry 5:
The following is a simulated X-ray powder pattern of MoN. It was derived from a structure optimized by DFT (GGA-PBE), using CuKα.
Peak positions follow from Bragg's law for the DFT cell and can differ from measured ones.

Crystal structure
```
data_MoN
_chemical_formula_sum 'Mo3 N3'
_cell_length_a 4.1234
_cell_length_b 4.1234
_cell_length_c 4.1234
_cell_angle_alpha 90.00
_cell_angle_beta 90.00
_cell_angle_gamma 90.00
_space_group_name_H-M_alt 'P m -3 m'
_space_group_IT_number 221
_space_group_name_Hall '-P 4 2 3'
loop_
_atom_site_label
_atom_site_fract_x
_atom_site_fract_y
_atom_site_fract_z
_atom_site_occupancy
Mo1 0.0000 0.0000 0.5000 1
N1 0.0000 0.5000 0.5000 1
```

The 10 most intense peaks (2θ from 10° to 90°), in order of rising 2θ:
- (1 0 0), 21.55 deg, intensity 35
- (1 1 0), 30.66 deg, intensity 52
- (1 1 1), 37.79 deg, intensity 100
- (2 0 0), 43.92 deg, intensity 82
- (2 1 0), 49.42 deg, intensity 15
- (2 1 1), 54.51 deg, intensity 18
- (2 2 0), 63.85 deg, intensity 50
- (3 1 1), 76.64 deg, intensity 40
- (2 2 2), 80.73 deg, intensity 17
- (3 2 1), 88.78 deg, intensity 9

***

Entry 6:
The following is a simulated X-ray powder pattern of MoN. It was derived from a structure optimized by DFT (GGA-PBE), using CuKα.
Peak positions follow from Bragg's law for the DFT cell and can differ from measured ones.

Crystal structure
```
data_MoN
_chemical_formula_sum 'Mo6 N6'
_cell_length_a 5.6748
_cell_length_b 5.6748
_cell_length_c 5.6748
_cell_angle_alpha 90.00
_cell_angle_beta 90.00
_cell_angle_gamma 90.00
_space_group_name_H-M_alt 'P m -3 n'
_space_group_IT_number 223
_space_group_name_Hall '-P 4n 2 3'
loop_
_atom_site_label
_atom_site_fract_x
_atom_site_fract_y
_atom_site_fract_z
_atom_site_occupancy
Mo1 0.0000 0.2500 0.5000 1
N1 0.0000 0.5000 0.2500 1
```

The 10 most intense peaks (2θ from 10° to 90°), in order of rising 2θ:
- (1 1 0), 22.15 deg, intensity 76
- (2 0 0), 31.53 deg, intensity 15
- (2 1 0), 35.37 deg, intensity 100
- (2 1 1), 38.87 deg, intensity 33
- (3 1 0), 50.88 deg, intensity 14
- (2 2 2), 56.15 deg, intensity 31
- (3 2 0), 58.66 deg, intensity 23
- (3 2 1), 61.10 deg, intensity 16
- (4 0 0), 65.83 deg, intensity 14
- (4 2 1), 77.00 deg, intensity 22